Diffraction record for Tb4InCu2Ge4. The powder diffractogram is theoretical, not measured: it uses a PBE-relaxed structure and CuKα.

Most intense lines, 10 to 90 degrees two-theta, by angle:
2θ/deg	Rel. int.	hkl
27.60	25	3 1 0
32.27	23	2 0 2
32.74	27	1 1 -2
33.07	74	3 1 1
34.10	100	3 1 -2
34.37	30	6 0 -1
35.76	100	1 1 2
36.86	44	5 1 0
37.54	27	6 0 -2
42.39	57	0 2 0

Cell and atoms:
```
data_Tb4InCu2Ge4
_chemical_formula_sum 'Tb8 In2 Cu4 Ge8'
_cell_length_a 15.6728
_cell_length_b 4.2649
_cell_length_c 7.1631
_cell_angle_alpha 90.00
_cell_angle_beta 108.50
_cell_angle_gamma 90.00
_symmetry_space_group_name_H-M 'C 1 2/m 1'
_symmetry_Int_Tables_number 12
_symmetry_space_group_name_Hall '-C 2y'
loop_
_atom_site_label
_atom_site_type_symbol
_atom_site_fract_x
_atom_site_fract_y
_atom_site_fract_z
_atom_site_occupancy
Tb1 Tb 0.0905 0.0000 0.3846 1
Tb2 Tb 0.1523 0.0000 0.9318 1
In1 In 0.0000 0.5000 0.0000 1
Cu1 Cu 0.2167 0.5000 0.6367 1
Ge1 Ge 0.0626 0.5000 0.6601 1
Ge2 Ge 0.1996 0.5000 0.2522 1
```